[1]
RbLa2Cu3TeSe4: theoretical powder diffractogram (Cu Kα (weighted mean of Kα1 and Kα2)), based on a GGA-PBE-relaxed structure.

Atomic structure:
```
RbLa2Cu3TeSe4
1.0
2.1566 -7.3571 0.0000
2.1566 7.3571 0.0000
0.0000 0.0000 18.4322
Rb La Cu Te Se
2 4 6 2 8
direct
0.0518 0.9482 0.7500
0.9482 0.0518 0.2500
0.1894 0.8106 0.0870
0.1894 0.8106 0.4130
0.8106 0.1894 0.5870
0.8106 0.1894 0.9130
0.3427 0.6573 0.7500
0.4170 0.5830 0.0304
0.4170 0.5830 0.4696
0.5830 0.4170 0.5304
0.5830 0.4170 0.9696
0.6573 0.3427 0.2500
0.2485 0.7515 0.2500
0.7515 0.2485 0.7500
0.1599 0.8401 0.5703
0.1599 0.8401 0.9297
0.4448 0.5552 0.6120
0.4448 0.5552 0.8880
0.5552 0.4448 0.1120
0.5552 0.4448 0.3880
0.8401 0.1599 0.0703
0.8401 0.1599 0.4297
```

Principal peaks in the range 2θ from 10° to 90°, in order of falling intensity:
d_spacing	I_rel
3.190	100
3.072	100
3.056	91
2.157	74
2.043	74
2.650	70
3.239	64
2.431	47
1.765	39
7.357	37
2.278	36
2.229	31

***

[2]
RbLa2Cu3Te4Se: theoretical powder diffractogram (Cu Kα (weighted mean of Kα1 and Kα2)), based on a GGA-PBE-relaxed structure.

Atomic structure:
```
RbLa2Cu3Te4Se
1.0
2.2195 -7.8204 0.0000
2.2195 7.8204 0.0000
0.0000 0.0000 18.5218
Rb La Cu Te Se
2 4 6 8 2
direct
0.0671 0.9329 0.7500
0.9329 0.0671 0.2500
0.1950 0.8050 0.0963
0.1950 0.8050 0.4037
0.8050 0.1950 0.5963
0.8050 0.1950 0.9037
0.3360 0.6640 0.7500
0.4169 0.5831 0.0201
0.4169 0.5831 0.4799
0.5831 0.4169 0.5201
0.5831 0.4169 0.9799
0.6640 0.3360 0.2500
0.1550 0.8450 0.5714
0.1550 0.8450 0.9286
0.4479 0.5521 0.6215
0.4479 0.5521 0.8785
0.5521 0.4479 0.1215
0.5521 0.4479 0.3785
0.8450 0.1550 0.0714
0.8450 0.1550 0.4286
0.2371 0.7629 0.2500
0.7629 0.2371 0.7500
```

Principal peaks in the range 2θ from 10° to 90°, in order of falling intensity:
d_spacing	I_rel
3.325	100
3.380	99
2.730	76
2.219	75
3.175	58
2.083	55
3.087	54
2.402	37
2.104	36
1.566	33
3.348	33
2.279	31